This entry pairs a crystal structure of SmZn2GeRu2 with its calculated XRD peak list. Radiation: Cu Kα (weighted mean of Kα1 and Kα2). Structure: a structure optimized by DFT (GGA-PBE).

Atomic structure:
abc: 4.5600 4.5600 5.6462
angles: 90.00 90.00 90.00
Space group P4/mmm (No. 123)
Symmetry-distinct sites (fractional):
Sm  0.0000  0.0000  0.0000 [1 per cell]
Zn  0.5000  0.5000  0.2381 [2 per cell]
Ge  0.0000  0.0000  0.5000 [1 per cell]
Ru  0.0000  0.5000  0.5000 [2 per cell]

Principal peaks in the range 2θ = 5–70°, low angle first:
15.70°, rel. 24; 27.67°, rel. 20; 31.69°, rel. 23; 31.96°, rel. 92; 37.47°, rel. 95; 39.52°, rel. 100; 51.52°, rel. 24; 55.59°, rel. 59; 57.13°, rel. 33; 66.98°, rel. 21